[1]
Diffraction record for Y2Er2Ga4Pd. The powder X-ray diffraction pattern is simulated, not measured: it uses a GGA-PBE-relaxed structure and Cu Ka.
Kinematic intensities with the Lorentz-polarization factor, no thermal factor.

Crystal structure
```
data_Y2Er2Ga4Pd
_chemical_formula_sum 'Y4 Er4 Ga8 Pd2'
_cell_length_a 7.0110
_cell_length_b 7.0110
_cell_length_c 8.5258
_cell_angle_alpha 90.00
_cell_angle_beta 90.00
_cell_angle_gamma 90.00
_symmetry_space_group_name_H-M 'I 4/m m m'
_symmetry_Int_Tables_number 139
_symmetry_space_group_name_Hall '-I 4 2'
loop_
_atom_site_label
_atom_site_type_symbol
_atom_site_fract_x
_atom_site_fract_y
_atom_site_fract_z
Y1 Y 0.0000 0.5000 0.2500
Er1 Er 0.0000 0.0000 0.1896
Ga1 Ga 0.2498 0.2498 0.0000
Pd1 Pd 0.0000 0.0000 0.5000
```

Largest 8 diffraction maxima, by angle, 2θ = 10–90°:
- 4.958 Å, 17.89 deg, intensity 40, hkl 1 1 0
- 3.506 Å, 25.41 deg, intensity 29, hkl 2 0 0
- 2.708 Å, 33.08 deg, intensity 100, hkl 2 0 2
- 2.634 Å, 34.04 deg, intensity 42, hkl 1 0 3
- 2.479 Å, 36.24 deg, intensity 89, hkl 2 2 0
- 2.106 Å, 42.95 deg, intensity 44, hkl 2 1 3
- 1.753 Å, 52.19 deg, intensity 31, hkl 4 0 0
- 1.471 Å, 63.19 deg, intensity 30, hkl 4 2 2

=====

[2]
Diffraction record for YErGaPd. The powder X-ray diffraction pattern is simulated, not measured: it uses a GGA-PBE-relaxed structure and Cu Ka.
Kinematic intensities with the Lorentz-polarization factor, no thermal factor.

Crystal structure
```
data_YErGaPd
_chemical_formula_sum 'Y2 Er2 Ga2 Pd2'
_cell_length_a 4.4679
_cell_length_b 3.7251
_cell_length_c 10.9964
_cell_angle_alpha 90.00
_cell_angle_beta 90.00
_cell_angle_gamma 90.00
_symmetry_space_group_name_H-M 'A m m 2'
_symmetry_Int_Tables_number 38
loop_
_symmetry_equiv_pos_as_xyz
'x,y,z'
'-x,-y,z'
'-x,y,z'
'x,-y,z'
'x,y+1/2,z+1/2'
'-x,-y+1/2,z+1/2'
'-x,y+1/2,z+1/2'
'x,-y+1/2,z+1/2'
loop_
_atom_site_label
_atom_site_type_symbol
_atom_site_fract_x
_atom_site_fract_y
_atom_site_fract_z
Y1 Y 0.0000 0.0000 0.0000
Er1 Er 0.5000 0.0000 0.7147
Ga1 Ga 0.5000 0.0000 0.4344
Pd1 Pd 0.0000 0.0000 0.2805
```

Largest 8 diffraction maxima, by angle, 2θ = 10–90°:
- 5.498 Å, 16.12 deg, intensity 19, hkl 0 0 2
- 2.769 Å, 32.33 deg, intensity 100, hkl 1 1 1
- 2.749 Å, 32.57 deg, intensity 25, hkl 0 0 4
- 2.613 Å, 34.32 deg, intensity 31, hkl 0 1 3
- 2.341 Å, 38.45 deg, intensity 29, hkl 1 0 4
- 2.255 Å, 39.97 deg, intensity 58, hkl 1 1 3
- 2.234 Å, 40.38 deg, intensity 30, hkl 2 0 0
- 1.697 Å, 54.03 deg, intensity 26, hkl 1 0 6

=====

[3]
Diffraction record for PmErGa2. The powder X-ray diffraction pattern is simulated, not measured: it uses a GGA-PBE-relaxed structure and Cu Ka.
Kinematic intensities with the Lorentz-polarization factor, no thermal factor.

Crystal structure
```
data_PmErGa2
_chemical_formula_sum 'Pm1 Er1 Ga2'
_cell_length_a 4.3926
_cell_length_b 4.0849
_cell_length_c 5.9299
_cell_angle_alpha 90.00
_cell_angle_beta 111.70
_cell_angle_gamma 90.00
_symmetry_space_group_name_H-M 'P 1 m 1'
_symmetry_Int_Tables_number 6
loop_
_symmetry_equiv_pos_as_xyz
'x,y,z'
'x,-y,z'
loop_
_atom_site_label
_atom_site_type_symbol
_atom_site_fract_x
_atom_site_fract_y
_atom_site_fract_z
Pm1 Pm 0.0000 0.0000 0.0000
Er1 Er 0.2770 0.5000 0.5566
Ga1 Ga 0.5681 0.5000 0.1358
Ga2 Ga 0.7169 0.0000 0.4369
```

Largest 8 diffraction maxima, by angle, 2θ = 10–90°:
- 3.281 Å, 27.18 deg, intensity 26, hkl 0 1 1
- 2.887 Å, 30.98 deg, intensity 100, hkl 1 1 -1
- 2.818 Å, 31.76 deg, intensity 43, hkl 1 0 1
- 2.755 Å, 32.50 deg, intensity 27, hkl 0 0 2
- 2.319 Å, 38.83 deg, intensity 52, hkl 1 1 1
- 2.196 Å, 41.10 deg, intensity 26, hkl 2 0 -1
- 2.042 Å, 44.35 deg, intensity 21, hkl 0 2 0
- 1.654 Å, 55.57 deg, intensity 18, hkl 1 2 1

=====

[4]
Diffraction record for Pm6ErGa2. The powder X-ray diffraction pattern is simulated, not measured: it uses a GGA-PBE-relaxed structure and Cu Ka.
Kinematic intensities with the Lorentz-polarization factor, no thermal factor.

Crystal structure
```
data_Pm6ErGa2
_chemical_formula_sum 'Pm12 Er2 Ga4'
_cell_length_a 12.7470
_cell_length_b 3.7276
_cell_length_c 11.9786
_cell_angle_alpha 90.00
_cell_angle_beta 109.58
_cell_angle_gamma 90.00
_symmetry_space_group_name_H-M 'C 1 2/m 1'
_symmetry_Int_Tables_number 12
loop_
_symmetry_equiv_pos_as_xyz
'x,y,z'
'-x,-y,-z'
'-x,y,-z'
'x,-y,z'
'x+1/2,y+1/2,z'
'-x+1/2,-y+1/2,-z'
'-x+1/2,y+1/2,-z'
'x+1/2,-y+1/2,z'
loop_
_atom_site_label
_atom_site_type_symbol
_atom_site_fract_x
_atom_site_fract_y
_atom_site_fract_z
Pm1 Pm 0.0278 0.0000 0.3244
Pm2 Pm 0.1881 0.5000 0.8761
Pm3 Pm 0.1904 0.5000 0.5938
Er1 Er 0.0000 0.0000 0.0000
Ga1 Ga 0.1431 0.5000 0.1915
```

Largest 8 diffraction maxima, by angle, 2θ = 10–90°:
- 2.860 Å, 31.27 deg, intensity 24, hkl 4 0 -3
- 2.794 Å, 32.03 deg, intensity 22, hkl 2 0 3
- 2.726 Å, 32.85 deg, intensity 100, hkl 1 1 -3
- 2.001 Å, 45.32 deg, intensity 9, hkl 6 0 0
- 1.864 Å, 48.86 deg, intensity 10, hkl 0 2 0
- 1.624 Å, 56.67 deg, intensity 10, hkl 5 1 -6
- 1.600 Å, 57.62 deg, intensity 9, hkl 1 1 6
- 1.551 Å, 59.61 deg, intensity 11, hkl 2 2 3

=====

[5]
Diffraction record for Pm2ErGa4. The powder X-ray diffraction pattern is simulated, not measured: it uses a GGA-PBE-relaxed structure and Cu Ka.
Kinematic intensities with the Lorentz-polarization factor, no thermal factor.

Crystal structure
```
data_Pm2ErGa4
_chemical_formula_sum 'Pm4 Er2 Ga8'
_cell_length_a 4.1743
_cell_length_b 4.2923
_cell_length_c 18.6276
_cell_angle_alpha 90.00
_cell_angle_beta 90.00
_cell_angle_gamma 90.00
_symmetry_space_group_name_H-M 'I m m m'
_symmetry_Int_Tables_number 71
_symmetry_space_group_name_Hall '-I 2 2'
loop_
_atom_site_label
_atom_site_type_symbol
_atom_site_fract_x
_atom_site_fract_y
_atom_site_fract_z
Pm1 Pm 0.0000 0.0000 0.1843
Er1 Er 0.0000 0.5000 0.5000
Ga1 Ga 0.0000 0.0000 0.3586
Ga2 Ga 0.0000 0.5000 0.0651
```

Largest 8 diffraction maxima, by angle, 2θ = 10–90°:
- 3.464 Å, 25.72 deg, intensity 23, hkl 1 0 3
- 2.849 Å, 31.40 deg, intensity 100, hkl 1 1 2
- 2.814 Å, 31.81 deg, intensity 55, hkl 0 1 5
- 2.518 Å, 35.66 deg, intensity 29, hkl 1 1 4
- 2.244 Å, 40.19 deg, intensity 29, hkl 1 0 7
- 2.146 Å, 42.10 deg, intensity 26, hkl 0 2 0
- 2.087 Å, 43.35 deg, intensity 24, hkl 2 0 0
- 1.676 Å, 54.76 deg, intensity 24, hkl 2 1 5

=====

[6]
Diffraction record for PmErGa4. The powder X-ray diffraction pattern is simulated, not measured: it uses a GGA-PBE-relaxed structure and Cu Ka.
Kinematic intensities with the Lorentz-polarization factor, no thermal factor.

Crystal structure
```
data_PmErGa4
_chemical_formula_sum 'Pm2 Er2 Ga8'
_cell_length_a 4.2827
_cell_length_b 7.0414
_cell_length_c 8.2921
_cell_angle_alpha 90.00
_cell_angle_beta 90.00
_cell_angle_gamma 90.00
_symmetry_space_group_name_H-M 'I m m 2'
_symmetry_Int_Tables_number 44
loop_
_symmetry_equiv_pos_as_xyz
'x,y,z'
'-x,-y,z'
'-x,y,z'
'x,-y,z'
'x+1/2,y+1/2,z+1/2'
'-x+1/2,-y+1/2,z+1/2'
'-x+1/2,y+1/2,z+1/2'
'x+1/2,-y+1/2,z+1/2'
loop_
_atom_site_label
_atom_site_type_symbol
_atom_site_fract_x
_atom_site_fract_y
_atom_site_fract_z
Pm1 Pm 0.0000 0.0000 0.0000
Er1 Er 0.0000 0.5000 0.8794
Ga1 Ga 0.0000 0.1929 0.6039
Ga2 Ga 0.0000 0.2991 0.2803
```

Largest 8 diffraction maxima, by angle, 2θ = 10–90°:
- 2.743 Å, 32.64 deg, intensity 63, hkl 1 1 2
- 2.684 Å, 33.39 deg, intensity 36, hkl 0 2 2
- 2.584 Å, 34.71 deg, intensity 100, hkl 1 2 1
- 2.573 Å, 34.87 deg, intensity 22, hkl 0 1 3
- 2.322 Å, 38.78 deg, intensity 39, hkl 1 0 3
- 2.258 Å, 39.92 deg, intensity 21, hkl 0 3 1
- 2.141 Å, 42.20 deg, intensity 31, hkl 2 0 0
- 1.461 Å, 63.71 deg, intensity 26, hkl 1 3 4